For PaB2P2, a PBE-relaxed structure gives the simulated X-ray powder pattern in this record (a wavelength of 1.5418 Å).

Atomic structure:
```
PaB2P2
1.0
3.2386 -2.5491 0.0000
3.2386 2.5491 0.0000
-1.1841 0.0000 4.2793
Pa B P
1 2 2
Direct
0.0000 0.0000 0.0000
0.4008 0.4008 0.2826
0.5992 0.5992 0.7174
0.3069 0.3069 0.6739
0.6931 0.6931 0.3261
```

Largest 10 diffraction maxima, sorted by position, 2θ from 15° to 90°:
2θ (°)  intensity
20.8  633
22.5  1000
28.0  649
28.6  270
30.6  482
33.4  853
35.2  433
44.6  415
47.2  333
47.3  296



For GaReH2, a PBE-relaxed structure gives the simulated X-ray powder pattern in this record (a wavelength of 1.5418 Å).

Atomic structure:
```
GaReH2
1.0
-2.7463 2.7463 2.5678
2.7463 -2.7463 2.5678
2.7463 2.7463 -2.5678
Ga Re H
2 2 4
Direct
0.0000 0.0000 0.0000
0.7500 0.2500 0.5000
0.2500 0.7500 0.5000
0.5000 0.5000 0.0000
0.2001 0.6250 0.0751
0.3750 0.4501 0.5751
0.5499 0.1250 0.9249
0.8750 0.7999 0.4249
```

Largest 10 diffraction maxima, sorted by position, 2θ from 15° to 90°:
2θ (°)  intensity
23.7  415
32.6  992
40.7  201
42.2  1000
46.8  375
64.8  559
68.3  120
77.8  166
83.0  142
83.7  139



Q: Number 2 is which compound?
A: GaReH2



Repeat the second record exactly.
For GaReH2, a PBE-relaxed structure gives the simulated X-ray powder pattern in this record (a wavelength of 1.5418 Å).

Atomic structure:
```
GaReH2
1.0
-2.7463 2.7463 2.5678
2.7463 -2.7463 2.5678
2.7463 2.7463 -2.5678
Ga Re H
2 2 4
Direct
0.0000 0.0000 0.0000
0.7500 0.2500 0.5000
0.2500 0.7500 0.5000
0.5000 0.5000 0.0000
0.2001 0.6250 0.0751
0.3750 0.4501 0.5751
0.5499 0.1250 0.9249
0.8750 0.7999 0.4249
```

Largest 10 diffraction maxima, sorted by position, 2θ from 15° to 90°:
2θ (°)  intensity
23.7  415
32.6  992
40.7  201
42.2  1000
46.8  375
64.8  559
68.3  120
77.8  166
83.0  142
83.7  139